No. 1
Starting from a PBE-relaxed structure, the powder diffractogram of HfMg6Zr was simulated for Cu Ka.

```
data_HfMg6Zr
_cell_length_a 5.056
_cell_length_b 6.453
_cell_length_c 6.453
_cell_angle_alpha 59.30
_cell_angle_beta 90.00
_cell_angle_gamma 90.00
_space_group_name_H-M_alt 'P 1'
_space_group_IT_number 1
_space_group_name_Hall 'P 1'
loop_
_atom_site_label
_atom_site_type_symbol
_atom_site_fract_x
_atom_site_fract_y
_atom_site_fract_z
_atom_site_occupancy
Hf1 Hf 0.000 0.000 0.000 1
Mg1 Mg 0.000 0.488 0.998 1
Mg2 Mg 0.000 0.490 0.490 1
Mg3 Mg 0.000 0.998 0.488 1
Mg4 Mg 0.500 0.152 0.662 1
Mg5 Mg 0.500 0.660 0.660 1
Mg6 Mg 0.500 0.662 0.152 1
Zr1 Zr 0.500 0.149 0.149 1
```

The 10 most intense peaks (15 to 90 degrees two-theta), in order of falling intensity:
2θ = 16.0°, intensity 1000; 2θ = 37.0°, intensity 795; 2θ = 36.6°, intensity 498; 2θ = 32.9°, intensity 398; 2θ = 23.7°, intensity 324; 2θ = 35.5°, intensity 318; 2θ = 32.3°, intensity 277; 2θ = 39.1°, intensity 277; 2θ = 15.8°, intensity 270; 2θ = 23.8°, intensity 269



No. 2
Starting from a PBE-relaxed structure, the powder diffractogram of Zn2Cu9O13 was simulated for Cu Ka.

```
data_Zn2Cu9O13
_cell_length_a 5.130
_cell_length_b 5.130
_cell_length_c 16.351
_cell_angle_alpha 97.95
_cell_angle_beta 97.95
_cell_angle_gamma 33.25
_space_group_name_H-M_alt 'P 1'
_space_group_IT_number 1
_space_group_name_Hall 'P 1'
loop_
_atom_site_label
_atom_site_type_symbol
_atom_site_fract_x
_atom_site_fract_y
_atom_site_fract_z
_atom_site_occupancy
Zn1 Zn 0.214 0.214 0.227 1
Zn2 Zn 0.786 0.786 0.773 1
Cu1 Cu 0.009 0.009 0.668 1
Cu2 Cu 0.068 0.068 0.877 1
Cu3 Cu 0.252 0.252 0.581 1
Cu4 Cu 0.357 0.357 0.959 1
Cu5 Cu 0.500 0.500 0.500 1
Cu6 Cu 0.643 0.643 0.041 1
Cu7 Cu 0.748 0.748 0.419 1
Cu8 Cu 0.932 0.932 0.123 1
Cu9 Cu 0.991 0.991 0.332 1
O1 O 0.000 0.000 0.000 1
O2 O 0.131 0.131 0.470 1
O3 O 0.145 0.145 0.773 1
O4 O 0.299 0.299 0.070 1
O5 O 0.374 0.374 0.684 1
O6 O 0.391 0.391 0.388 1
O7 O 0.420 0.420 0.854 1
O8 O 0.580 0.580 0.146 1
O9 O 0.609 0.609 0.612 1
O10 O 0.626 0.626 0.316 1
O11 O 0.701 0.701 0.930 1
O12 O 0.855 0.855 0.227 1
O13 O 0.869 0.869 0.530 1
```

The 10 most intense peaks (15 to 90 degrees two-theta), in order of falling intensity:
2θ = 35.4°, intensity 1000; 2θ = 35.7°, intensity 766; 2θ = 43.3°, intensity 581; 2θ = 36.6°, intensity 459; 2θ = 44.1°, intensity 403; 2θ = 36.7°, intensity 373; 2θ = 42.4°, intensity 349; 2θ = 45.4°, intensity 325; 2θ = 63.4°, intensity 289; 2θ = 34.2°, intensity 279



No. 3
Starting from a PBE-relaxed structure, the powder diffractogram of Ba3Sn2P4 was simulated for Cu Ka.

```
data_Ba3Sn2P4
_cell_length_a 7.976
_cell_length_b 19.564
_cell_length_c 7.980
_cell_angle_alpha 90.00
_cell_angle_beta 112.77
_cell_angle_gamma 90.00
_space_group_name_H-M_alt 'P 1'
_space_group_IT_number 1
_space_group_name_Hall 'P 1'
loop_
_atom_site_label
_atom_site_type_symbol
_atom_site_fract_x
_atom_site_fract_y
_atom_site_fract_z
_atom_site_occupancy
Ba1 Ba 0.183 0.195 0.050 1
Ba2 Ba 0.183 0.305 0.550 1
Ba3 Ba 0.231 0.063 0.543 1
Ba4 Ba 0.231 0.437 0.043 1
Ba5 Ba 0.297 0.688 0.934 1
Ba6 Ba 0.297 0.812 0.434 1
Ba7 Ba 0.703 0.188 0.566 1
Ba8 Ba 0.703 0.312 0.066 1
Ba9 Ba 0.769 0.563 0.957 1
Ba10 Ba 0.769 0.937 0.457 1
Ba11 Ba 0.817 0.695 0.450 1
Ba12 Ba 0.817 0.805 0.950 1
Sn1 Sn 0.227 0.506 0.555 1
Sn2 Sn 0.227 0.994 0.055 1
Sn3 Sn 0.353 0.621 0.414 1
Sn4 Sn 0.353 0.879 0.914 1
Sn5 Sn 0.647 0.121 0.086 1
Sn6 Sn 0.647 0.379 0.586 1
Sn7 Sn 0.773 0.006 0.945 1
Sn8 Sn 0.773 0.494 0.445 1
P1 P 0.025 0.557 0.711 1
P2 P 0.025 0.943 0.211 1
P3 P 0.069 0.681 0.201 1
P4 P 0.069 0.819 0.701 1
P5 P 0.443 0.190 0.815 1
P6 P 0.443 0.310 0.315 1
P7 P 0.471 0.071 0.279 1
P8 P 0.471 0.429 0.779 1
P9 P 0.529 0.571 0.221 1
P10 P 0.529 0.929 0.721 1
P11 P 0.557 0.690 0.685 1
P12 P 0.557 0.810 0.185 1
P13 P 0.931 0.181 0.299 1
P14 P 0.931 0.319 0.799 1
P15 P 0.975 0.057 0.789 1
P16 P 0.975 0.443 0.289 1
```

The 10 most intense peaks (15 to 90 degrees two-theta), in order of falling intensity:
2θ = 27.2°, intensity 1000; 2θ = 24.2°, intensity 436; 2θ = 41.1°, intensity 403; 2θ = 24.6°, intensity 233; 2θ = 40.9°, intensity 194; 2θ = 26.4°, intensity 186; 2θ = 22.6°, intensity 181; 2θ = 49.8°, intensity 153; 2θ = 25.8°, intensity 117; 2θ = 36.5°, intensity 101